CsTl4Br5: calculated X-ray powder pattern (Cu Kα X-rays), based on DFT lattice parameters and positions (PBE).

Structural model:
Lattice parameters (Å, degrees): 4.8500 6.9028 24.3093 90.00 90.00 90.00
Space group Immm (No. 71)
Inequivalent atoms, fractional coordinates:
Cs: 0.0000 0.0000 0.0000 [2 per cell]
Tl: 0.0000 0.0000 0.2042 [4 per cell]
Tl: 0.0000 0.0000 0.3978 [4 per cell]
Br: 0.0000 0.5000 0.0000 [2 per cell]
Br: 0.0000 0.5000 0.1964 [4 per cell]
Br: 0.0000 0.5000 0.3896 [4 per cell]

Principal peaks in the range 2θ from 5° to 70°, sorted by position:
index, 2θ (°), d (Å), Rel. int.
0 1 5, 22.38, 3.972, 42
0 2 0, 25.81, 3.451, 52
1 0 5, 25.95, 3.434, 100
1 2 5, 36.94, 2.434, 98
2 0 0, 37.07, 2.425, 20
1 1 10, 43.70, 2.072, 16
2 2 0, 45.69, 1.986, 43
1 4 5, 60.00, 1.542, 19
2 2 10, 60.20, 1.537, 26
3 2 5, 66.73, 1.402, 14